Theoretical PXRD pattern of LaGd2Zr for copper Kα, from a GGA-PBE-relaxed structure.
Neutral-atom scattering factors, no anomalous dispersion.

Peak list (12 most intense, 10° ≤ 2θ ≤ 90°, sorted by position)
d_spacing	two_theta	intensity
2.857	31.31	1000
2.501	35.90	173
2.461	36.51	331
1.754	52.14	237
1.740	52.59	116
1.504	61.68	142
1.486	62.49	274
1.429	65.32	120
1.138	85.30	116
1.130	86.02	57
1.115	87.49	55
1.104	88.56	54

Atomic structure:
Cell lengths 4.922, 4.922, 5.002 Å; angles 90.00, 90.00, 90.00 degrees
Element x y z (fractional)
1 La 0.000 0.000 0.000
2 Gd 0.000 0.500 0.500
3 Gd 0.500 0.000 0.500
4 Zr 0.500 0.500 0.000